Starting from a crystal structure in the Materials Project, relaxed with GGA-PBE, the powder XRD pattern of DyU2S3O2 was calculated for Cu Kα X-rays.
Lines closer than 0.1° are merged.

Structural model:
a b c (Å): 3.8006 3.8006 21.2316
angles (deg): 90.00 90.00 90.00
Space group I4/mmm (No. 139)
Asymmetric unit:
Dy 0.0000 0.0000 0.0000 x2
U 0.0000 0.0000 0.3134 x4
S 0.0000 0.0000 0.1288 x4
S 0.0000 0.0000 0.5000 x2
O 0.0000 0.5000 0.2500 x4

Most intense lines, 10 to 80 degrees two-theta, in order of rising 2θ:
h k l  2θ (°)  d [Å]  intensity
0 0 6  25.2  3.539  29
1 0 3  26.6  3.348  100
1 0 5  31.6  2.832  29
1 1 0  33.3  2.687  53
1 0 7  38.0  2.371  19
1 1 6  42.2  2.140  39
2 0 0  47.9  1.900  23
2 0 6  54.8  1.674  15
1 1 10  55.1  1.666  14
2 1 3  55.6  1.653  29

---

Starting from a crystal structure in the Materials Project, relaxed with GGA-PBE, the powder XRD pattern of CePuCo4 was calculated for Cu Kα X-rays.
Lines closer than 0.1° are merged.

Structural model:
a b c (Å): 6.9479 6.9479 6.9479
angles (deg): 90.00 90.00 90.00
Space group F-43m (No. 216)
Asymmetric unit:
Ce 0.0000 0.0000 0.0000 x4
Pu 0.2500 0.2500 0.2500 x4
Co 0.1231 0.1231 0.6231 x16

Most intense lines, 10 to 80 degrees two-theta, in order of rising 2θ:
h k l  2θ (°)  d [Å]  intensity
1 1 1  22.2  4.011  28
2 0 0  25.6  3.474  5
2 2 0  36.6  2.456  71
3 1 1  43.2  2.095  100
2 2 2  45.2  2.006  13
3 3 1  57.8  1.594  7
4 2 0  59.5  1.554  3
4 2 2  65.9  1.418  26
3 3 3  70.4  1.337  31
4 4 0  77.8  1.228  21

---

Starting from a crystal structure in the Materials Project, relaxed with GGA-PBE, the powder XRD pattern of Ba2ZnB6O12 was calculated for Cu Kα X-rays.
Lines closer than 0.1° are merged.

Structural model:
a b c (Å): 7.2330 7.2740 12.2931
angles (deg): 96.03 94.39 119.73
Space group P-1 (No. 2)
Asymmetric unit:
Ba 0.1551 0.3191 0.4503 x2
Ba 0.2365 0.4169 0.7859 x2
Zn 0.3886 0.8597 0.0837 x2
B 0.1213 0.0480 0.1321 x2
B 0.1351 0.8258 0.8820 x2
B 0.2472 0.4272 0.1232 x2
B 0.2503 0.9202 0.3761 x2
B 0.3628 0.8290 0.6292 x2
B 0.4969 0.2167 0.6301 x2
O 0.0361 0.3849 0.1264 x2
O 0.0545 0.8905 0.3824 x2
O 0.0896 0.9870 0.8667 x2
O 0.1459 0.8773 0.1276 x2
O 0.1963 0.6318 0.6266 x2
O 0.2874 0.2585 0.1333 x2
O 0.2938 0.7511 0.3723 x2
O 0.3316 0.0069 0.6364 x2
O 0.3379 0.8625 0.9077 x2
O 0.4110 0.6160 0.1094 x2
O 0.4259 0.1286 0.3760 x2
O 0.4622 0.3795 0.6253 x2

Most intense lines, 10 to 80 degrees two-theta, in order of rising 2θ:
h k l  2θ (°)  d [Å]  intensity
1 0 -1  15.0  5.893  19
1 -1 1  15.8  5.604  21
0 1 -3  24.2  3.671  21
2 -1 0  24.6  3.613  100
-1 1 3  26.5  3.366  43
1 0 3  28.1  3.171  41
0 1 -4  30.7  2.915  17
-3 1 1  38.1  2.361  24
1 2 0  38.3  2.347  18
3 0 -1  43.2  2.092  19

---

Starting from a crystal structure in the Materials Project, relaxed with GGA-PBE, the powder XRD pattern of AlW2C was calculated for Cu Kα X-rays.
Lines closer than 0.1° are merged.

Structural model:
a b c (Å): 3.0073 3.0073 13.7355
angles (deg): 90.00 90.00 120.00
Space group P6_3/mmc (No. 194)
Asymmetric unit:
Al 0.3333 0.6667 0.2500 x2
W 0.3333 0.6667 0.5901 x4
C 0.0000 0.0000 0.0000 x2

Most intense lines, 10 to 80 degrees two-theta, in order of rising 2θ:
h k l  2θ (°)  d [Å]  intensity
0 0 2  12.9  6.868  43
0 0 4  25.9  3.434  17
1 0 0  34.4  2.604  22
1 0 1  35.1  2.559  26
0 0 6  39.4  2.289  21
1 0 3  39.8  2.264  100
1 1 0  61.7  1.504  20
1 0 9  71.7  1.317  16
1 1 6  75.7  1.257  19
2 0 3  76.0  1.253  15